(1)
Computed X-ray powder pattern
Compound: Pr6Fe13Hg
Radiation: Cu Kα, 1.54184 Å
Structure: DFT lattice parameters and positions (PBE)
Neutral-atom scattering factors, no anomalous dispersion.

Largest 10 diffraction maxima, by angle, 5 to 70 degrees two-theta:
- 2θ = 27.37°, intensity 71
- 2θ = 31.42°, intensity 71
- 2θ = 31.55°, intensity 36
- 2θ = 32.00°, intensity 44
- 2θ = 34.49°, intensity 46
- 2θ = 35.39°, intensity 100
- 2θ = 38.07°, intensity 72
- 2θ = 42.95°, intensity 42
- 2θ = 46.87°, intensity 35
- 2θ = 58.09°, intensity 35

Atomic structure:
a = 13.007 Å, b = 13.007 Å, c = 13.007 Å
α = 144.09°, β = 144.09°, γ = 51.70°
Positions (direct):
Pr 0.023 0.523 0.175
Pr 0.106 0.106 0.000
Pr 0.152 0.977 0.500
Pr 0.348 0.848 0.825
Pr 0.394 0.394 0.000
Pr 0.477 0.652 0.500
Pr 0.523 0.348 0.500
Pr 0.606 0.606 0.000
Pr 0.652 0.152 0.175
Pr 0.848 0.023 0.500
Pr 0.894 0.894 0.000
Pr 0.977 0.477 0.825
Fe 0.000 0.500 0.500
Fe 0.020 0.293 0.500
Fe 0.067 0.210 0.277
Fe 0.120 0.620 0.857
Fe 0.207 0.480 0.500
Fe 0.210 0.933 0.144
Fe 0.237 0.737 0.857
Fe 0.263 0.120 0.500
Fe 0.290 0.433 0.723
Fe 0.293 0.793 0.274
Fe 0.380 0.237 0.500
Fe 0.433 0.710 0.144
Fe 0.480 0.980 0.274
Fe 0.500 0.000 0.500
Fe 0.520 0.020 0.726
Fe 0.567 0.290 0.856
Fe 0.620 0.763 0.500
Fe 0.707 0.207 0.726
Fe 0.710 0.567 0.277
Fe 0.737 0.880 0.500
Fe 0.763 0.263 0.143
Fe 0.790 0.067 0.856
Fe 0.793 0.520 0.500
Fe 0.880 0.380 0.143
Fe 0.933 0.790 0.723
Fe 0.980 0.707 0.500
Hg 0.250 0.250 0.000
Hg 0.750 0.750 0.000



(2)
Computed X-ray powder pattern
Compound: Nd2PdO4
Radiation: Cu Kα, 1.54184 Å
Structure: DFT lattice parameters and positions (PBE)
Neutral-atom scattering factors, no anomalous dispersion.

Largest 10 diffraction maxima, by angle, 5 to 70 degrees two-theta:
- 2θ = 31.02°, intensity 100
- 2θ = 31.37°, intensity 16
- 2θ = 31.52°, intensity 19
- 2θ = 43.81°, intensity 9
- 2θ = 45.06°, intensity 21
- 2θ = 52.89°, intensity 5
- 2θ = 54.92°, intensity 18
- 2θ = 55.62°, intensity 14
- 2θ = 55.81°, intensity 20
- 2θ = 64.67°, intensity 9

Atomic structure:
a = 5.677 Å, b = 5.704 Å, c = 12.397 Å
α = 90.00°, β = 90.00°, γ = 90.00°
Positions (direct):
Nd 0.009 0.038 0.155
Nd 0.009 0.462 0.655
Nd 0.491 0.538 0.155
Nd 0.491 0.962 0.655
Nd 0.509 0.038 0.345
Nd 0.509 0.462 0.845
Nd 0.991 0.538 0.345
Nd 0.991 0.962 0.845
Pd 0.000 0.000 0.500
Pd 0.000 0.500 0.000
Pd 0.500 0.000 0.000
Pd 0.500 0.500 0.500
O 0.193 0.693 0.511
O 0.193 0.807 0.011
O 0.242 0.212 0.755
O 0.242 0.288 0.255
O 0.258 0.712 0.755
O 0.258 0.788 0.255
O 0.307 0.193 0.511
O 0.307 0.307 0.011
O 0.693 0.693 0.989
O 0.693 0.807 0.489
O 0.742 0.212 0.745
O 0.742 0.288 0.245
O 0.758 0.712 0.745
O 0.758 0.788 0.245
O 0.807 0.193 0.989
O 0.807 0.307 0.489